# 1
Structure and calculated PXRD pattern of Ca2LaGeH (a structure optimized by DFT (PBE); Cu Kα, 1.54184 Å).

Structure:
```
data_Ca2LaGeH
_chemical_formula_sum 'Ca2 La1 Ge1 H1'
_cell_length_a 4.8827
_cell_length_b 4.8827
_cell_length_c 4.8888
_cell_angle_alpha 90.00
_cell_angle_beta 90.00
_cell_angle_gamma 90.00
_space_group_name_H-M_alt 'P 4/m m m'
_space_group_IT_number 123
_space_group_name_Hall '-P 4 2'
loop_
_atom_site_label
_atom_site_fract_x
_atom_site_fract_y
_atom_site_fract_z
Ca1 0.0000 0.5000 0.0000
La1 0.0000 0.0000 0.5000
Ge1 0.5000 0.5000 0.5000
H1 0.0000 0.0000 0.0000
```

The 10 most intense peaks (2θ = 10–90°), in order of rising 2θ:
18.15 deg, intensity 26; 25.80 deg, intensity 23; 31.73 deg, intensity 100; 36.80 deg, intensity 51; 41.33 deg, intensity 13; 45.47 deg, intensity 10; 53.02 deg, intensity 34; 63.13 deg, intensity 39; 66.28 deg, intensity 11; 86.93 deg, intensity 16

=====

# 2
Structure and calculated PXRD pattern of CaGeHSe (a structure optimized by DFT (PBE); Cu Kα, 1.54184 Å).

Structure:
```
data_CaGeHSe
_chemical_formula_sum 'Ca1 Ge1 H1 Se1'
_cell_length_a 3.7245
_cell_length_b 3.7602
_cell_length_c 6.4556
_cell_angle_alpha 81.17
_cell_angle_beta 75.47
_cell_angle_gamma 68.70
_space_group_name_H-M_alt 'P 1'
_space_group_IT_number 1
_space_group_name_Hall 'P 1'
loop_
_atom_site_label
_atom_site_fract_x
_atom_site_fract_y
_atom_site_fract_z
Ca1 0.0000 0.0000 0.0000
Ge1 0.0628 0.4574 0.4026
H1 0.6173 0.6262 0.0847
Se1 0.4480 0.4216 0.6792
```

The 10 most intense peaks (2θ = 10–90°), in order of rising 2θ:
14.21 deg, intensity 70; 25.49 deg, intensity 73; 28.40 deg, intensity 100; 30.17 deg, intensity 52; 32.62 deg, intensity 59; 34.72 deg, intensity 78; 36.11 deg, intensity 47; 36.34 deg, intensity 69; 43.55 deg, intensity 35; 49.45 deg, intensity 40

=====

# 3
Structure and calculated PXRD pattern of Ca4HgGe3 (a structure optimized by DFT (PBE); Cu Kα, 1.54184 Å).

Structure:
```
data_Ca4HgGe3
_chemical_formula_sum 'Ca4 Hg1 Ge3'
_cell_length_a 4.1481
_cell_length_b 4.5297
_cell_length_c 11.2036
_cell_angle_alpha 90.00
_cell_angle_beta 90.00
_cell_angle_gamma 90.00
_space_group_name_H-M_alt 'P m m 2'
_space_group_IT_number 25
_space_group_name_Hall 'P 2 -2'
loop_
_atom_site_label
_atom_site_fract_x
_atom_site_fract_y
_atom_site_fract_z
Ca1 0.0000 0.0000 0.0000
Ca2 0.0000 0.5000 0.4885
Ca3 0.5000 0.0000 0.7170
Ca4 0.5000 0.5000 0.2198
Hg1 0.0000 0.5000 0.7736
Ge1 0.0000 0.0000 0.2846
Ge2 0.5000 0.0000 0.4285
Ge3 0.5000 0.5000 0.9448
```

The 10 most intense peaks (2θ = 10–90°), in order of rising 2θ:
15.82 deg, intensity 42; 21.16 deg, intensity 60; 30.29 deg, intensity 88; 31.95 deg, intensity 20; 38.02 deg, intensity 100; 38.79 deg, intensity 35; 39.80 deg, intensity 30; 43.64 deg, intensity 23; 56.79 deg, intensity 23; 71.07 deg, intensity 22